# UNb6O16
Computed PXRD pattern, copper Kα. Input: a DFT-relaxed cell (PBE, the Materials Project).
Lines closer than 0.1° are merged.

Unit cell a=6.604 b=8.065 c=9.426 alpha=99.33 beta=100.97 gamma=103.99
Space group P-1 (No. 2)
One atom of each set of equivalent atoms:
U  0.000  0.000  0.000 [1 per cell]
Nb  0.077  0.604  0.763 [2 per cell]
Nb  0.378  0.994  0.823 [2 per cell]
Nb  0.382  0.790  0.478 [2 per cell]
O  0.057  0.271  0.115 [2 per cell]
O  0.129  0.617  0.351 [2 per cell]
O  0.150  0.093  0.822 [2 per cell]
O  0.230  0.773  0.654 [2 per cell]
O  0.293  0.562  0.875 [2 per cell]
O  0.332  0.979  0.046 [2 per cell]
O  0.415  0.312  0.494 [2 per cell]
O  0.481  0.962  0.357 [2 per cell]

Principal peaks in the range 10° ≤ 2θ ≤ 90°, in order of rising 2θ:
2θ (°)	intensity	index
11.6	992	0 1 0
13.5	952	0 1 -1
15.6	533	1 -1 0
19.0	765	1 -1 1
19.2	1000	1 0 1
20.5	384	0 1 -2
23.3	349	0 2 -1
27.3	676	0 2 1
29.7	397	1 0 -3
31.6	661	-2 1 2